1.
Structure and calculated powder diffractogram of BH11AuC4IN2 (a GGA-PBE-relaxed structure; copper Kα).
Kinematic intensities with the Lorentz-polarization factor, no thermal factor.

Structure:
Unit cell a=6.233 b=9.425 c=9.928 alpha=116.51 beta=90.97 gamma=101.96
Space group P-1 (No. 2)
One atom of each set of equivalent atoms:
B1 0.095 0.066 0.256 x2
H1 0.031 0.659 0.707 x2
H2 0.038 0.347 0.472 x2
H3 0.115 0.883 0.485 x2
H4 0.163 0.121 0.170 x2
H5 0.220 0.122 0.372 x2
H6 0.231 0.911 0.917 x2
H7 0.242 0.664 0.587 x2
H8 0.259 0.075 0.639 x2
H9 0.344 0.086 0.889 x2
H10 0.389 0.907 0.563 x2
H11 0.453 0.908 0.803 x2
Au1 0.000 0.500 0.000 x1
Au2 0.500 0.500 0.000 x1
C1 0.039 0.741 0.110 x2
C2 0.090 0.702 0.625 x2
C3 0.232 0.942 0.589 x2
C4 0.303 0.952 0.837 x2
I1 0.487 0.453 0.721 x2
N1 0.057 0.882 0.175 x2
N2 0.137 0.885 0.699 x2

Main lines, by intensity (10 to 90 degrees two-theta):
- (0 1 0), 10.82 deg, rel. 100
- (0 0 1), 10.04 deg, rel. 31
- (0 2 0), 21.71 deg, rel. 22
- (0 2 -1), 19.25 deg, rel. 19
- (2 0 0), 29.51 deg, rel. 18
- (0 1 -4), 37.00 deg, rel. 15
- (0 1 1), 17.90 deg, rel. 14
- (2 -1 0), 28.91 deg, rel. 14
- (1 -1 2), 23.16 deg, rel. 10
- (0 3 0), 32.82 deg, rel. 10


2.
Structure and calculated powder diffractogram of TiAg (a GGA-PBE-relaxed structure; copper Kα).
Kinematic intensities with the Lorentz-polarization factor, no thermal factor.

Structure:
Unit cell a=2.919 b=2.919 c=8.271 alpha=90.00 beta=90.00 gamma=90.00
Space group P4/nmm (No. 129, origin choice 2)
One atom of each set of equivalent atoms:
Ti1 0.250 0.250 0.114 x2
Ag1 0.250 0.250 0.630 x2

Main lines, by intensity (10 to 90 degrees two-theta):
- (1 0 2), 37.72 deg, rel. 100
- (1 1 0), 43.84 deg, rel. 48
- (0 0 1), 10.70 deg, rel. 30
- (2 0 0), 63.73 deg, rel. 29
- (2 1 2), 76.53 deg, rel. 22
- (0 0 3), 32.52 deg, rel. 21
- (1 0 6), 76.41 deg, rel. 10
- (2 0 4), 80.57 deg, rel. 9
- (1 1 1), 45.27 deg, rel. 7
- (1 0 5), 64.81 deg, rel. 5


3.
Structure and calculated powder diffractogram of Ge (a GGA-PBE-relaxed structure; copper Kα).
Kinematic intensities with the Lorentz-polarization factor, no thermal factor.

Structure:
Unit cell a=5.261 b=5.771 c=10.231 alpha=90.00 beta=90.00 gamma=90.00
Space group Fmmm (No. 69)
One atom of each set of equivalent atoms:
Ge1 0.000 0.000 0.218 x8
Ge2 0.000 0.226 0.500 x8

Main lines, by intensity (10 to 90 degrees two-theta):
- (0 2 2), 35.72 deg, rel. 100
- (2 2 2), 50.20 deg, rel. 75
- (0 0 4), 35.05 deg, rel. 73
- (2 0 0), 34.08 deg, rel. 65
- (2 0 4), 49.72 deg, rel. 31
- (4 2 2), 82.84 deg, rel. 17
- (1 3 5), 69.39 deg, rel. 13
- (2 2 6), 73.94 deg, rel. 11
- (2 4 0), 75.09 deg, rel. 10
- (1 1 7), 68.59 deg, rel. 10


4.
Structure and calculated powder diffractogram of LaCeSb2S4Br4 (a GGA-PBE-relaxed structure; copper Kα).
Kinematic intensities with the Lorentz-polarization factor, no thermal factor.

Structure:
Unit cell a=8.761 b=9.355 c=17.578 alpha=90.00 beta=104.26 gamma=90.00
Space group P2_1/c (No. 14)
One atom of each set of equivalent atoms:
La1 0.122 0.132 0.244 x4
Ce1 0.388 0.637 0.263 x4
Sb1 0.270 0.543 0.547 x4
Sb2 0.274 0.158 0.555 x4
S1 0.073 0.150 0.053 x4
S2 0.338 0.563 0.690 x4
S3 0.340 0.164 0.698 x4
S4 0.476 0.151 0.054 x4
Br1 0.080 0.629 0.134 x4
Br2 0.158 0.674 0.834 x4
Br3 0.162 0.058 0.840 x4
Br4 0.445 0.127 0.371 x4

Main lines, by intensity (10 to 90 degrees two-theta):
- (2 2 1), 29.85 deg, rel. 100
- (4 0 -2), 41.22 deg, rel. 38
- (2 3 -1), 35.33 deg, rel. 38
- (0 0 2), 10.39 deg, rel. 36
- (2 1 -5), 30.80 deg, rel. 36
- (1 0 -4), 20.91 deg, rel. 33
- (0 2 3), 24.68 deg, rel. 29
- (2 1 -6), 34.71 deg, rel. 27
- (0 2 7), 41.84 deg, rel. 26
- (0 2 1), 19.68 deg, rel. 26


5.
Structure and calculated powder diffractogram of Hf8Mo5S (a GGA-PBE-relaxed structure; copper Kα).
Kinematic intensities with the Lorentz-polarization factor, no thermal factor.

Structure:
Unit cell a=8.465 b=9.112 c=14.165 alpha=90.00 beta=90.00 gamma=90.00
Space group Amm2 (No. 38)
One atom of each set of equivalent atoms:
Hf1 0.000 0.000 0.062 x2
Hf2 0.000 0.181 0.878 x4
Hf3 0.199 0.000 0.397 x4
Hf4 0.203 0.211 0.209 x8
Hf5 0.310 0.000 0.808 x4
Hf6 0.310 0.213 0.000 x8
Hf7 0.500 0.000 0.167 x2
Mo1 0.000 0.000 0.715 x2
Mo2 0.000 0.164 0.547 x4
Mo3 0.252 0.000 0.603 x4
Mo4 0.500 0.000 0.484 x2
Mo5 0.500 0.162 0.662 x4
Mo6 0.500 0.173 0.328 x4
S1 0.000 0.000 0.251 x2
S2 0.500 0.000 0.964 x2

Main lines, by intensity (10 to 90 degrees two-theta):
- (0 4 0), 39.58 deg, rel. 100
- (1 3 3), 36.75 deg, rel. 78
- (2 2 4), 38.59 deg, rel. 73
- (3 2 2), 39.67 deg, rel. 57
- (2 3 1), 36.98 deg, rel. 56
- (3 1 1), 33.84 deg, rel. 46
- (2 2 2), 31.49 deg, rel. 41
- (5 3 3), 66.23 deg, rel. 38
- (0 3 3), 35.13 deg, rel. 28
- (0 2 4), 32.00 deg, rel. 28